No. 1
# MgRuO3
Theoretical powder diffractogram, a wavelength of 1.5418 Å. Input: the PBE geometry in the Materials Project.
Kinematic intensities with the Lorentz-polarization factor, no thermal factor.

Largest 7 diffraction maxima, by intensity, 2θ = 5–70°:
d [Å]	I/Imax
2.746	100
3.883	90
1.942	43
1.585	39
1.737	34
1.373	25
2.242	3

Cell and atoms:
Unit cell a=3.883 b=3.883 c=3.883 alpha=90.00 beta=90.00 gamma=90.00
Space group Pm-3m (No. 221)
One atom of each set of equivalent atoms:
Mg (0.000, 0.000, 0.000) (multiplicity 1)
Ru (0.500, 0.500, 0.500) (multiplicity 1)
O (0.000, 0.500, 0.500) (multiplicity 3)

---

No. 2
# SrMgRu2O6
Theoretical powder diffractogram, a wavelength of 1.5418 Å. Input: the PBE geometry in the Materials Project.
Kinematic intensities with the Lorentz-polarization factor, no thermal factor.

Largest 10 diffraction maxima, by intensity, 2θ = 5–70°:
d [Å]	I/Imax
6.057	100
3.590	84
1.970	48
2.580	47
3.628	45
3.029	31
2.379	31
1.962	24
1.958	24
2.603	24

Cell and atoms:
Unit cell a=5.206 b=8.911 c=6.058 alpha=90.00 beta=90.72 gamma=90.00
Space group C2/m (No. 12)
One atom of each set of equivalent atoms:
Sr (0.000, 0.000, 0.000) (multiplicity 2)
Mg (0.000, 0.000, 0.500) (multiplicity 2)
Ru (0.000, 0.336, 0.500) (multiplicity 4)
O (0.167, 0.500, 0.313) (multiplicity 4)
O (0.169, 0.168, 0.319) (multiplicity 8)

---

No. 3
# SrMgRu2O6
Theoretical powder diffractogram, a wavelength of 1.5418 Å. Input: the PBE geometry in the Materials Project.
Kinematic intensities with the Lorentz-polarization factor, no thermal factor.

Largest 10 diffraction maxima, by intensity, 2θ = 5–70°:
d [Å]	I/Imax
5.094	100
2.708	48
3.455	41
2.724	34
2.259	34
2.550	27
3.080	27
2.516	19
2.240	19
2.690	17

Cell and atoms:
Unit cell a=5.617 b=9.404 c=5.320 alpha=90.00 beta=106.74 gamma=90.00
Space group Cm (No. 8)
One atom of each set of equivalent atoms:
Sr (0.000, 0.000, 0.000) (multiplicity 2)
Mg (0.416, 0.000, 0.649) (multiplicity 2)
Ru (0.061, 0.325, 0.253) (multiplicity 4)
O (0.207, 0.500, 0.492) (multiplicity 2)
O (0.266, 0.161, 0.429) (multiplicity 4)
O (0.275, 0.281, 0.029) (multiplicity 4)
O (0.430, 0.000, 0.019) (multiplicity 2)

---

No. 4
# Sr2MgRu3O10
Theoretical powder diffractogram, a wavelength of 1.5418 Å. Input: the PBE geometry in the Materials Project.
Kinematic intensities with the Lorentz-polarization factor, no thermal factor.

Largest 10 diffraction maxima, by intensity, 2θ = 5–70°:
d [Å]	I/Imax
5.480	100
3.204	82
3.217	59
2.664	51
2.476	48
1.827	37
3.683	36
3.255	29
2.695	27
2.372	24

Cell and atoms:
Unit cell a=5.653 b=6.138 c=6.731 alpha=73.12 beta=86.23 gamma=68.73
Space group P1 (No. 1)
One atom of each set of equivalent atoms:
Sr (0.000, 0.000, 0.000) (multiplicity 1)
Sr (0.252, 0.338, 0.210) (multiplicity 1)
Mg (0.508, 0.146, 0.714) (multiplicity 1)
Ru (0.373, 0.691, 0.583) (multiplicity 1)
Ru (0.614, 0.677, 0.080) (multiplicity 1)
Ru (0.829, 0.685, 0.569) (multiplicity 1)
O (0.026, 0.904, 0.513) (multiplicity 1)
O (0.186, 0.446, 0.632) (multiplicity 1)
O (0.356, 0.669, 0.891) (multiplicity 1)
O (0.379, 0.662, 0.294) (multiplicity 1)
O (0.424, 0.050, 0.005) (multiplicity 1)
O (0.492, 0.978, 0.501) (multiplicity 1)
O (0.696, 0.406, 0.655) (multiplicity 1)
O (0.798, 0.785, 0.835) (multiplicity 1)
O (0.810, 0.350, 0.124) (multiplicity 1)
O (0.851, 0.701, 0.268) (multiplicity 1)

---

No. 5
# SrMgRu2O6
Theoretical powder diffractogram, a wavelength of 1.5418 Å. Input: the PBE geometry in the Materials Project.
Kinematic intensities with the Lorentz-polarization factor, no thermal factor.

Largest 10 diffraction maxima, by intensity, 2θ = 5–70°:
d [Å]	I/Imax
3.457	100
1.859	65
2.707	59
1.674	24
2.131	23
1.563	20
5.117	16
2.392	14
2.558	11
4.688	10

Cell and atoms:
Unit cell a=5.418 b=9.368 c=5.117 alpha=90.00 beta=90.06 gamma=90.00
Space group C2 (No. 5)
One atom of each set of equivalent atoms:
Sr (0.000, 0.000, 0.000) (multiplicity 2)
Mg (0.000, 0.666, 0.000) (multiplicity 2)
Ru (0.000, 0.334, 0.500) (multiplicity 2)
Ru (0.000, 0.667, 0.500) (multiplicity 2)
O (0.109, 0.504, 0.725) (multiplicity 4)
O (0.191, 0.803, 0.725) (multiplicity 4)
O (0.202, 0.194, 0.726) (multiplicity 4)

---

No. 6
# Sr2MgRu3O10
Theoretical powder diffractogram, a wavelength of 1.5418 Å. Input: the PBE geometry in the Materials Project.
Kinematic intensities with the Lorentz-polarization factor, no thermal factor.

Largest 10 diffraction maxima, by intensity, 2θ = 5–70°:
d [Å]	I/Imax
3.113	100
5.479	87
3.396	58
4.599	57
2.611	55
3.593	44
3.881	44
2.903	43
2.568	38
2.100	38

Cell and atoms:
Unit cell a=5.700 b=5.831 c=6.763 alpha=79.51 beta=89.77 gamma=73.13
Space group P1 (No. 1)
One atom of each set of equivalent atoms:
Sr (0.000, 0.000, 0.000) (multiplicity 1)
Sr (0.105, 0.221, 0.454) (multiplicity 1)
Mg (0.647, 0.970, 0.406) (multiplicity 1)
Ru (0.337, 0.582, 0.726) (multiplicity 1)
Ru (0.549, 0.589, 0.224) (multiplicity 1)
Ru (0.775, 0.603, 0.743) (multiplicity 1)
O (0.113, 0.366, 0.779) (multiplicity 1)
O (0.328, 0.595, 0.012) (multiplicity 1)
O (0.359, 0.509, 0.452) (multiplicity 1)
O (0.379, 0.937, 0.230) (multiplicity 1)
O (0.468, 0.877, 0.664) (multiplicity 1)
O (0.655, 0.319, 0.789) (multiplicity 1)
O (0.749, 0.232, 0.256) (multiplicity 1)
O (0.777, 0.661, 0.018) (multiplicity 1)
O (0.799, 0.618, 0.427) (multiplicity 1)
O (0.992, 0.831, 0.673) (multiplicity 1)

---

What did the sixth record say?
# Sr2MgRu3O10
Theoretical powder diffractogram, a wavelength of 1.5418 Å. Input: the PBE geometry in the Materials Project.
Kinematic intensities with the Lorentz-polarization factor, no thermal factor.

Largest 10 diffraction maxima, by intensity, 2θ = 5–70°:
d [Å]	I/Imax
3.113	100
5.479	87
3.396	58
4.599	57
2.611	55
3.593	44
3.881	44
2.903	43
2.568	38
2.100	38

Cell and atoms:
Unit cell a=5.700 b=5.831 c=6.763 alpha=79.51 beta=89.77 gamma=73.13
Space group P1 (No. 1)
One atom of each set of equivalent atoms:
Sr (0.000, 0.000, 0.000) (multiplicity 1)
Sr (0.105, 0.221, 0.454) (multiplicity 1)
Mg (0.647, 0.970, 0.406) (multiplicity 1)
Ru (0.337, 0.582, 0.726) (multiplicity 1)
Ru (0.549, 0.589, 0.224) (multiplicity 1)
Ru (0.775, 0.603, 0.743) (multiplicity 1)
O (0.113, 0.366, 0.779) (multiplicity 1)
O (0.328, 0.595, 0.012) (multiplicity 1)
O (0.359, 0.509, 0.452) (multiplicity 1)
O (0.379, 0.937, 0.230) (multiplicity 1)
O (0.468, 0.877, 0.664) (multiplicity 1)
O (0.655, 0.319, 0.789) (multiplicity 1)
O (0.749, 0.232, 0.256) (multiplicity 1)
O (0.777, 0.661, 0.018) (multiplicity 1)
O (0.799, 0.618, 0.427) (multiplicity 1)
O (0.992, 0.831, 0.673) (multiplicity 1)